[1]
Simulated XRD peak list
Compound: Ho4Er3Th4
Radiation: CuKα
Structure: a PBE-relaxed structure
No peak broadening, texture or thermal motion is included.

Cell and atoms:
Cell lengths 10.6582, 5.5292, 12.0069 Å; angles 90.00, 90.00, 90.00 degrees
Space group Amm2 (No. 38)
Symmetry-distinct sites (fractional):
Ho  0.0000  0.0000  0.0000 x2
Ho  0.2142  0.0000  0.8117 x4
Ho  0.5000  0.0000  0.9597 x2
Er  0.0000  0.0000  0.3090 x2
Er  0.2958  0.0000  0.4546 x4
Th  0.0000  0.0000  0.6104 x2
Th  0.2820  0.0000  0.1507 x4
Th  0.5000  0.0000  0.6772 x2

Largest 10 diffraction maxima, by intensity, 10° ≤ 2θ ≤ 90°:
| index | 2θ (°) | I/Imax |
| --- | --- | --- |
| 0 2 0 | 32.34 | 100.0 |
| 3 1 1 | 30.83 | 16.2 |
| 2 3 3 | 57.72 | 14.8 |
| 4 0 0 | 33.64 | 13.4 |
| 0 0 6 | 45.36 | 11.6 |
| 4 2 0 | 47.39 | 10.4 |
| 0 2 6 | 56.80 | 10.2 |
| 1 0 4 | 30.95 | 8.7 |
| 3 1 7 | 62.43 | 7.8 |
| 5 2 4 | 63.19 | 7.2 |

***

[2]
Simulated XRD peak list
Compound: Dy5Ho12Er2
Radiation: CuKα
Structure: a PBE-relaxed structure
No peak broadening, texture or thermal motion is included.

Cell and atoms:
Cell lengths 15.3933, 9.1681, 8.5081 Å; angles 90.00, 92.05, 90.00 degrees
Space group C2/m (No. 12)
Symmetry-distinct sites (fractional):
Dy  0.0000  0.0000  0.0000 x2
Dy  0.2055  0.5000  0.5210 x4
Dy  0.2308  0.0000  0.0715 x4
Ho  0.0571  0.5000  0.8364 x4
Ho  0.0752  0.0000  0.3742 x4
Ho  0.1296  0.3080  0.1697 x8
Ho  0.1493  0.1799  0.7395 x8
Er  0.0000  0.3273  0.5000 x4

Largest 10 diffraction maxima, by intensity, 10° ≤ 2θ ≤ 90°:
| index | 2θ (°) | I/Imax |
| --- | --- | --- |
| 5 1 -1 | 32.10 | 100.0 |
| 4 0 2 | 31.93 | 84.4 |
| 1 1 -3 | 33.40 | 75.0 |
| 2 2 -2 | 30.66 | 64.7 |
| 3 3 1 | 35.99 | 51.6 |
| 1 3 1 | 31.72 | 51.3 |
| 1 3 -1 | 31.58 | 40.7 |
| 1 3 -2 | 36.59 | 39.4 |
| 4 2 0 | 30.34 | 37.0 |
| 3 3 4 | 56.17 | 36.4 |

***

[3]
Simulated XRD peak list
Compound: Na3ScPa2N6
Radiation: CuKα
Structure: a PBE-relaxed structure
No peak broadening, texture or thermal motion is included.

Cell and atoms:
Cell lengths 5.9730, 10.4350, 6.0166 Å; angles 90.00, 108.94, 90.00 degrees
Space group C2/m (No. 12)
Symmetry-distinct sites (fractional):
Na  0.0000  0.0000  0.0000 x2
Na  0.0000  0.3408  0.0000 x4
Sc  0.0000  0.5000  0.5000 x2
Pa  0.0000  0.1663  0.5000 x4
N  0.2288  0.0000  0.6893 x4
N  0.2318  0.3333  0.6891 x8

Largest 10 diffraction maxima, by intensity, 10° ≤ 2θ ≤ 90°:
| index | 2θ (°) | I/Imax |
| --- | --- | --- |
| 0 0 1 | 15.57 | 100.0 |
| 2 0 0 | 31.62 | 63.3 |
| 1 3 1 | 36.50 | 49.5 |
| 1 3 0 | 30.17 | 33.8 |
| 0 0 2 | 31.44 | 29.0 |
| 2 0 -2 | 36.85 | 24.1 |
| 1 1 0 | 17.85 | 21.9 |
| 2 0 1 | 40.01 | 20.2 |
| 1 1 -1 | 20.09 | 17.5 |
| 3 3 -1 | 52.99 | 16.9 |

***

[4]
Simulated XRD peak list
Compound: TmTiSe3
Radiation: CuKα
Structure: a PBE-relaxed structure
No peak broadening, texture or thermal motion is included.

Cell and atoms:
Cell lengths 4.1240, 21.8766, 6.5876 Å; angles 90.00, 90.00, 90.00 degrees
Space group Cmc2_1 (No. 36)
Symmetry-distinct sites (fractional):
Tm  0.0000  0.1714  0.0000 x4
Ti  0.0000  0.3838  0.9147 x4
Se  0.0000  0.0701  0.2763 x4
Se  0.0000  0.2798  0.7517 x4
Se  0.0000  0.3856  0.2850 x4

Largest 10 diffraction maxima, by intensity, 10° ≤ 2θ ≤ 90°:
| index | 2θ (°) | I/Imax |
| --- | --- | --- |
| 1 3 1 | 28.31 | 100.0 |
| 1 3 2 | 37.04 | 84.8 |
| 1 1 1 | 25.81 | 82.1 |
| 0 4 1 | 21.11 | 77.2 |
| 1 9 0 | 43.20 | 71.0 |
| 0 2 1 | 15.70 | 63.4 |
| 0 4 0 | 16.21 | 54.3 |
| 0 6 2 | 36.77 | 54.2 |
| 1 5 1 | 32.79 | 43.7 |
| 2 0 0 | 43.91 | 39.8 |